Simulated powder XRD pattern of Na4MgCo2O6 for λ = 1.5418 Å (Cu Kα), from a crystal structure in the Materials Project, relaxed with PBE+U.
Peak positions follow from Bragg's law for the DFT cell and can differ from measured ones.

Structural model:
a b c (Å): 5.5440 5.7079 5.7926
angles (deg): 68.56 75.18 70.15
Fractional positions:
Na (0.0000, 0.0000, 0.0000)
Na (0.0000, 0.5000, 0.5000)
Na (0.2706, 0.0225, 0.4742)
Na (0.7294, 0.9775, 0.5258)
Mg (0.5000, 0.5000, 0.5000)
Co (0.2777, 0.4044, 0.9760)
Co (0.7223, 0.5956, 0.0240)
O (0.0433, 0.7201, 0.7744)
O (0.3524, 0.2095, 0.7573)
O (0.3784, 0.4549, 0.2334)
O (0.6216, 0.5451, 0.7666)
O (0.6476, 0.7905, 0.2427)
O (0.9567, 0.2799, 0.2256)

The 10 most intense peaks (2θ = 10–80°), by angle:
index, two_theta, intensity
0 0 1, 16.63, 30.2
0 1 0, 17.35, 100.0
0 1 1, 20.05, 34.9
1 -1 0, 27.74, 56.1
2 1 1, 33.29, 38.6
0 0 2, 33.63, 29.4
1 -1 1, 33.95, 37.0
1 2 2, 37.98, 28.5
2 1 -1, 43.09, 72.9
2 1 3, 52.64, 28.6